Structure and computed PXRD pattern of BaC4O10 (a structure optimized by DFT (PBE); a wavelength of 1.5418 Å).
Intensities are scaled so that the largest is 100.

Cell and atoms:
```
data_BaC4O10
_cell_length_a 15.587
_cell_length_b 6.894
_cell_length_c 13.395
_cell_angle_alpha 90.00
_cell_angle_beta 123.46
_cell_angle_gamma 90.00
_space_group_name_H-M_alt 'C 1 2/c 1'
_space_group_IT_number 15
_space_group_name_Hall '-C 2yc'
loop_
_atom_site_label
_atom_site_type_symbol
_atom_site_fract_x
_atom_site_fract_y
_atom_site_fract_z
Ba1 Ba 0.000 0.100 0.250
C1 C 0.051 0.312 0.976
C2 C 0.232 0.097 0.598
O1 O 0.040 0.329 0.882
O2 O 0.063 0.296 0.070
O3 O 0.144 0.130 0.525
O4 O 0.159 0.030 0.789
O5 O 0.181 0.436 0.333
```

The 10 most intense peaks (2θ = 10–80°), low angle first:
| h k l | 2theta | Rel. int. |
| --- | --- | --- |
| 2 0 0 | 13.6 | 100 |
| 2 0 -2 | 14.1 | 58 |
| 1 1 0 | 14.5 | 80 |
| 1 1 -1 | 14.7 | 53 |
| 3 1 -2 | 21.9 | 73 |
| 1 1 2 | 24.2 | 75 |
| 2 0 -4 | 26.9 | 49 |
| 2 2 -1 | 28.3 | 100 |
| 4 2 -1 | 35.5 | 54 |
| 4 2 -3 | 35.9 | 50 |



Structure and computed PXRD pattern of Ba7B4Se13 (a structure optimized by DFT (PBE); a wavelength of 1.5418 Å).
Intensities are scaled so that the largest is 100.

Cell and atoms:
```
data_Ba7B4Se13
_cell_length_a 10.670
_cell_length_b 25.547
_cell_length_c 10.663
_cell_angle_alpha 90.00
_cell_angle_beta 90.02
_cell_angle_gamma 90.00
_space_group_name_H-M_alt 'C 1 2/c 1'
_space_group_IT_number 15
_space_group_name_Hall '-C 2yc'
loop_
_atom_site_label
_atom_site_type_symbol
_atom_site_fract_x
_atom_site_fract_y
_atom_site_fract_z
Ba1 Ba 0.000 0.004 0.250
Ba2 Ba 0.000 0.168 0.750
Ba3 Ba 0.000 0.496 0.750
Ba4 Ba 0.107 0.329 0.028
Ba5 Ba 0.222 0.173 0.357
B1 B 0.100 0.117 0.068
B2 B 0.180 0.388 0.350
Se1 Se 0.000 0.294 0.750
Se2 Se 0.048 0.081 0.501
Se3 Se 0.096 0.425 0.489
Se4 Se 0.098 0.195 0.063
Se5 Se 0.186 0.309 0.347
Se6 Se 0.238 0.079 0.151
Se7 Se 0.245 0.423 0.202
```

The 10 most intense peaks (2θ = 10–80°), low angle first:
| h k l | 2theta | Rel. int. |
| --- | --- | --- |
| 0 4 2 | 21.7 | 34 |
| 3 1 -1 | 26.7 | 100 |
| 0 8 0 | 27.9 | 34 |
| 1 3 3 | 28.5 | 77 |
| 3 5 -1 | 31.7 | 80 |
| 1 5 3 | 31.8 | 42 |
| 1 7 3 | 36.3 | 72 |
| 1 9 -2 | 36.9 | 38 |
| 2 0 -4 | 37.7 | 85 |
| 4 6 2 | 43.5 | 31 |



Structure and computed PXRD pattern of Hf4NbGe4 (a structure optimized by DFT (PBE); a wavelength of 1.5418 Å).
Intensities are scaled so that the largest is 100.

Cell and atoms:
```
data_Hf4NbGe4
_cell_length_a 6.955
_cell_length_b 13.500
_cell_length_c 7.064
_cell_angle_alpha 90.00
_cell_angle_beta 90.00
_cell_angle_gamma 90.00
_space_group_name_H-M_alt 'P n m a'
_space_group_IT_number 62
_space_group_name_Hall '-P 2ac 2n'
loop_
_atom_site_label
_atom_site_type_symbol
_atom_site_fract_x
_atom_site_fract_y
_atom_site_fract_z
Hf1 Hf 0.015 0.095 0.177
Hf2 Hf 0.151 0.625 0.331
Nb1 Nb 0.176 0.250 0.503
Ge1 Ge 0.048 0.250 0.891
Ge2 Ge 0.183 0.750 0.649
Ge3 Ge 0.192 0.040 0.532
```

The 10 most intense peaks (2θ = 10–80°), low angle first:
| h k l | 2theta | Rel. int. |
| --- | --- | --- |
| 2 0 1 | 28.6 | 22 |
| 1 1 2 | 29.1 | 21 |
| 1 3 2 | 34.8 | 100 |
| 2 3 1 | 35.0 | 83 |
| 0 4 2 | 36.8 | 59 |
| 1 4 2 | 39.1 | 25 |
| 2 4 1 | 39.3 | 49 |
| 0 6 0 | 40.1 | 21 |
| 3 0 1 | 41.0 | 89 |
| 3 4 3 | 62.6 | 33 |



Structure and computed PXRD pattern of BaLaSi2 (a structure optimized by DFT (PBE); a wavelength of 1.5418 Å).
Intensities are scaled so that the largest is 100.

Cell and atoms:
```
data_BaLaSi2
_cell_length_a 4.633
_cell_length_b 14.960
_cell_length_c 6.780
_cell_angle_alpha 90.00
_cell_angle_beta 90.00
_cell_angle_gamma 90.00
_space_group_name_H-M_alt 'C m c m'
_space_group_IT_number 63
_space_group_name_Hall '-C 2c 2'
loop_
_atom_site_label
_atom_site_type_symbol
_atom_site_fract_x
_atom_site_fract_y
_atom_site_fract_z
Ba1 Ba 0.000 0.223 0.250
La1 La 0.000 0.049 0.750
Si1 Si 0.000 0.424 0.568
```

The 10 most intense peaks (2θ = 10–80°), low angle first:
| h k l | 2theta | Rel. int. |
| --- | --- | --- |
| 1 1 0 | 20.1 | 20 |
| 1 1 1 | 24.0 | 16 |
| 0 0 2 | 26.3 | 29 |
| 0 4 1 | 27.2 | 36 |
| 1 3 1 | 29.4 | 100 |
| 1 1 2 | 33.3 | 41 |
| 0 4 2 | 35.7 | 23 |
| 2 0 0 | 38.9 | 20 |
| 0 4 3 | 47.0 | 15 |
| 1 7 2 | 54.5 | 15 |



Structure and computed PXRD pattern of KCaPO5 (a structure optimized by DFT (PBE); a wavelength of 1.5418 Å).
Intensities are scaled so that the largest is 100.

Cell and atoms:
```
data_KCaPO5
_cell_length_a 7.702
_cell_length_b 8.419
_cell_length_c 7.982
_cell_angle_alpha 90.00
_cell_angle_beta 104.10
_cell_angle_gamma 90.00
_space_group_name_H-M_alt 'C 1 2/m 1'
_space_group_IT_number 12
_space_group_name_Hall '-C 2y'
loop_
_atom_site_label
_atom_site_type_symbol
_atom_site_fract_x
_atom_site_fract_y
_atom_site_fract_z
K1 K 0.000 0.222 0.000
Ca1 Ca 0.000 0.253 0.500
P1 P 0.233 0.000 0.742
O1 O 0.022 0.000 0.672
O2 O 0.100 0.500 0.628
O3 O 0.199 0.345 0.326
O4 O 0.233 0.500 0.060
```

The 10 most intense peaks (2θ = 10–80°), low angle first:
| h k l | 2theta | Rel. int. |
| --- | --- | --- |
| 0 0 1 | 11.4 | 31 |
| 1 1 -1 | 17.8 | 59 |
| 1 1 1 | 21.2 | 89 |
| 2 0 -2 | 28.9 | 73 |
| 0 2 2 | 31.4 | 91 |
| 2 2 0 | 32.0 | 100 |
| 2 0 2 | 37.3 | 29 |
| 2 2 2 | 43.2 | 38 |
| 4 0 0 | 48.7 | 29 |
| 2 2 -4 | 52.4 | 33 |



Structure and computed PXRD pattern of Ca2Bi3O8 (a structure optimized by DFT (PBE); a wavelength of 1.5418 Å).
Intensities are scaled so that the largest is 100.

Cell and atoms:
```
data_Ca2Bi3O8
_cell_length_a 6.9787
_cell_length_b 6.9787
_cell_length_c 10.4262
_cell_angle_alpha 90.00
_cell_angle_beta 90.00
_cell_angle_gamma 120.00
_space_group_name_H-M_alt 'P 63 m c'
_space_group_IT_number 186
_space_group_name_Hall 'P 6c -2c'
loop_
_atom_site_label
_atom_site_type_symbol
_atom_site_fract_x
_atom_site_fract_y
_atom_site_fract_z
Ca1 Ca 0.3333 0.6667 0.0000
Ca2 Ca 0.3333 0.6667 0.3664
Bi1 Bi 0.1655 0.3309 0.7135
O1 O 0.0000 0.0000 0.3168
O2 O 0.0444 0.5222 0.8378
O3 O 0.1680 0.3361 0.1228
O4 O 0.3333 0.6667 0.5946
```

The 10 most intense peaks (2θ = 10–80°), low angle first:
| h k l | 2theta | Rel. int. |
| --- | --- | --- |
| 0 0 2 | 17.0 | 99 |
| 2 0 0 | 29.6 | 33 |
| 2 0 1 | 30.8 | 100 |
| 2 0 2 | 34.3 | 20 |
| 2 0 3 | 39.5 | 39 |
| 2 0 4 | 46.0 | 14 |
| 2 2 0 | 52.4 | 22 |
| 2 0 5 | 53.4 | 26 |
| 2 2 2 | 55.5 | 23 |
| 2 2 4 | 64.2 | 14 |